The following is a calculated X-ray powder pattern of Ba4ErPb3O12. It was derived from a structure optimized by DFT (PBE), using Cu Kα, 1.54184 Å.
Peak positions follow from Bragg's law for the DFT cell and can differ from measured ones.

Structure:
abc: 7.554 7.554 7.554
angles: 109.47 109.47 109.47
Sites, in units of the cell vectors:
Ba: 0.000 0.000 0.500
Ba: 0.000 0.500 0.000
Ba: 0.500 0.000 0.000
Ba: 0.500 0.500 0.500
Er: 0.000 0.000 0.000
Pb: 0.000 0.500 0.500
Pb: 0.500 0.000 0.500
Pb: 0.500 0.500 0.000
O: 0.000 0.253 0.253
O: 0.000 0.747 0.747
O: 0.250 0.500 0.750
O: 0.250 0.750 0.500
O: 0.253 0.000 0.253
O: 0.253 0.253 0.000
O: 0.500 0.250 0.750
O: 0.500 0.750 0.250
O: 0.747 0.000 0.747
O: 0.747 0.747 0.000
O: 0.750 0.250 0.500
O: 0.750 0.500 0.250

Main lines, in order of rising 2θ (10° ≤ 2θ ≤ 90°):
Position (°2θ)	I_rel
20.36	8
28.95	100
41.41	28
46.56	4
51.31	42
60.00	18
67.97	19
75.52	6
82.81	23
89.99	3